For NaAuO2, a cell relaxed with GGA-PBE gives the computed powder XRD pattern in this record (Cu Kα (weighted mean of Kα1 and Kα2)).
Peak positions follow from Bragg's law for the DFT cell and can differ from measured ones.

Most intense lines, 2θ = 10–90°, in order of rising 2θ:
2θ = 15.6°, 5.666 Å, I = 935, (0 2 0)
2θ = 24.8°, 3.585 Å, I = 1000, (1 1 0)
2θ = 29.9°, 2.990 Å, I = 235, (0 0 2)
2θ = 31.6°, 2.833 Å, I = 182, (0 4 0)
2θ = 33.5°, 2.672 Å, I = 361, (1 3 0)
2θ = 33.9°, 2.645 Å, I = 294, (0 2 2)
2θ = 39.2°, 2.296 Å, I = 374, (1 1 2)
2θ = 44.0°, 2.057 Å, I = 276, (0 4 2)
2θ = 45.5°, 1.992 Å, I = 466, (1 3 2)
2θ = 48.2°, 1.889 Å, I = 181, (2 0 0)

Atomic structure:
a = 3.7796 Å, b = 11.3319 Å, c = 5.9805 Å
α = 90.00°, β = 90.00°, γ = 90.00°
Space group Cmcm (No. 63)
Inequivalent atoms, fractional coordinates:
Na 0.0000 0.2126 0.2500 [4 per cell]
Au 0.0000 0.4967 0.2500 [4 per cell]
O 0.0000 0.3778 0.5067 [8 per cell]

For Er5S7, a cell relaxed with GGA-PBE gives the computed powder XRD pattern in this record (Cu Kα (weighted mean of Kα1 and Kα2)).
Peak positions follow from Bragg's law for the DFT cell and can differ from measured ones.

Most intense lines, 2θ = 10–90°, in order of rising 2θ:
2θ = 24.1°, 3.691 Å, I = 825, (2 0 2)
2θ = 24.7°, 3.610 Å, I = 1000, (2 0 -3)
2θ = 26.5°, 3.360 Å, I = 332, (1 1 1)
2θ = 28.1°, 3.177 Å, I = 388, (4 0 -1)
2θ = 31.9°, 2.809 Å, I = 334, (3 1 -1)
2θ = 33.5°, 2.675 Å, I = 464, (3 1 -2)
2θ = 34.6°, 2.591 Å, I = 355, (3 1 1)
2θ = 39.4°, 2.290 Å, I = 251, (1 1 -4)
2θ = 42.4°, 2.130 Å, I = 281, (1 1 4)
2θ = 43.9°, 2.060 Å, I = 270, (5 1 0)

Atomic structure:
a = 12.7098 Å, b = 3.7731 Å, c = 11.5249 Å
α = 90.00°, β = 104.67°, γ = 90.00°
Space group C2/m (No. 12)
Inequivalent atoms, fractional coordinates:
Er 0.0000 0.0000 0.0000 [2 per cell]
Er 0.1123 0.0000 0.4221 [4 per cell]
Er 0.1988 0.5000 0.8109 [4 per cell]
S 0.0000 0.5000 0.5000 [2 per cell]
S 0.0403 0.0000 0.7846 [4 per cell]
S 0.1597 0.5000 0.0516 [4 per cell]
S 0.2406 0.5000 0.3527 [4 per cell]

For TiPbO3, a cell relaxed with GGA-PBE gives the computed powder XRD pattern in this record (Cu Kα (weighted mean of Kα1 and Kα2)).
Peak positions follow from Bragg's law for the DFT cell and can differ from measured ones.

Most intense lines, 2θ = 10–90°, in order of rising 2θ:
2θ = 22.4°, 3.969 Å, I = 396, (1 0 0)
2θ = 31.9°, 2.807 Å, I = 1000, (1 1 0)
2θ = 39.3°, 2.292 Å, I = 294, (1 1 1)
2θ = 45.7°, 1.985 Å, I = 297, (2 0 0)
2θ = 51.5°, 1.775 Å, I = 207, (2 1 0)
2θ = 56.8°, 1.620 Å, I = 400, (2 1 1)
2θ = 66.6°, 1.403 Å, I = 183, (2 2 0)
2θ = 71.3°, 1.323 Å, I = 108, (3 0 0)
2θ = 75.8°, 1.255 Å, I = 176, (3 1 0)
2θ = 80.2°, 1.197 Å, I = 109, (3 1 1)

Atomic structure:
a = 3.9690 Å, b = 3.9690 Å, c = 3.9690 Å
α = 90.00°, β = 90.00°, γ = 90.00°
Space group Pm-3m (No. 221)
Inequivalent atoms, fractional coordinates:
Ti 0.0000 0.0000 0.0000 [1 per cell]
Pb 0.5000 0.5000 0.5000 [1 per cell]
O 0.0000 0.0000 0.5000 [3 per cell]